Theoretical powder X-ray diffraction pattern of CsHfCuSeS2 for Cu Ka, from DFT lattice parameters and positions (PBE).
No peak broadening, texture or thermal motion is included.

Principal peaks in the range 10 to 90 degrees two-theta, by angle:
Position (°2θ), d/Å, Rel. int.
18.8, 4.726, 24.8
20.0, 4.443, 34.3
22.3, 3.986, 100.0
29.3, 3.047, 17.4
30.1, 2.967, 25.2
33.6, 2.671, 28.8
35.7, 2.517, 24.1
40.7, 2.219, 44.8
42.5, 2.128, 29.4
45.5, 1.993, 17.5
46.8, 1.940, 14.6
59.2, 1.562, 16.2

Crystal structure
```
data_CsHfCuSeS2
_chemical_formula_sum 'Cs2 Hf2 Cu2 Se2 S4'
_symmetry_space_group_name_H-M 'P 1'
_symmetry_Int_Tables_number 1
_symmetry_space_group_name_Hall 'P 1'
_cell_length_a 10.0661
_cell_length_b 3.9860
_cell_length_c 9.4521
_cell_angle_alpha 90.00
_cell_angle_beta 90.00
_cell_angle_gamma 90.00
loop_
_atom_site_label
_atom_site_type_symbol
_atom_site_fract_x
_atom_site_fract_y
_atom_site_fract_z
Cs1 Cs 0.2500 0.0000 0.0490
Cs2 Cs 0.7500 0.0000 0.9510
Hf1 Hf 0.0000 0.0000 0.5000
Hf2 Hf 0.5000 0.0000 0.5000
Cu1 Cu 0.2500 0.0000 0.6578
Cu2 Cu 0.7500 0.0000 0.3422
Se1 Se 0.2500 0.0000 0.4094
Se2 Se 0.7500 0.0000 0.5906
S1 S 0.0515 0.0000 0.7528
S2 S 0.4485 0.0000 0.7528
S3 S 0.5515 0.0000 0.2472
S4 S 0.9485 0.0000 0.2472
```

=====

Theoretical powder X-ray diffraction pattern of DyHoNO for Cu Ka, from DFT lattice parameters and positions (PBE).
No peak broadening, texture or thermal motion is included.

Principal peaks in the range 10 to 90 degrees two-theta, by angle:
Position (°2θ), d/Å, Rel. int.
26.0, 3.424, 42.1
32.0, 2.797, 100.0
37.1, 2.425, 21.9
45.9, 1.978, 41.5
46.0, 1.975, 11.8
57.1, 1.614, 20.5
60.4, 1.532, 30.7
63.7, 1.462, 14.8
76.1, 1.251, 12.0
76.2, 1.249, 5.9
82.0, 1.175, 7.5
84.9, 1.143, 6.8

Crystal structure
```
data_DyHoNO
_chemical_formula_sum 'Dy2 Ho2 N2 O2'
_symmetry_space_group_name_H-M 'P 1'
_symmetry_Int_Tables_number 1
_symmetry_space_group_name_Hall 'P 1'
_cell_length_a 4.8491
_cell_length_b 3.9494
_cell_length_c 6.8550
_cell_angle_alpha 90.00
_cell_angle_beta 90.00
_cell_angle_gamma 90.00
loop_
_atom_site_label
_atom_site_type_symbol
_atom_site_fract_x
_atom_site_fract_y
_atom_site_fract_z
Dy1 Dy 0.2500 0.0000 0.1650
Dy2 Dy 0.7500 0.0000 0.8350
Ho1 Ho 0.2500 0.5000 0.6672
Ho2 Ho 0.7500 0.5000 0.3328
N1 N 0.2500 0.5000 0.3372
N2 N 0.7500 0.5000 0.6628
O1 O 0.2500 0.0000 0.8238
O2 O 0.7500 0.0000 0.1762
```

=====

Theoretical powder X-ray diffraction pattern of Tl2Ag2Se3S for Cu Ka, from DFT lattice parameters and positions (PBE).
No peak broadening, texture or thermal motion is included.

Principal peaks in the range 10 to 90 degrees two-theta, by angle:
Position (°2θ), d/Å, Rel. int.
24.9, 3.571, 100.0
25.1, 3.548, 99.8
28.8, 3.097, 18.3
41.2, 2.190, 45.3
41.4, 2.183, 22.2
41.5, 2.176, 44.7
41.8, 2.162, 22.0
48.8, 1.868, 47.8
49.0, 1.858, 15.8
49.2, 1.851, 15.5
49.5, 1.841, 15.6
75.1, 1.264, 14.5

Crystal structure
```
data_Tl2Ag2Se3S
_chemical_formula_sum 'Tl2 Ag2 Se3 S1'
_symmetry_space_group_name_H-M 'P 1'
_symmetry_Int_Tables_number 1
_symmetry_space_group_name_Hall 'P 1'
_cell_length_a 7.4916
_cell_length_b 7.4916
_cell_length_c 6.1845
_cell_angle_alpha 113.89
_cell_angle_beta 113.89
_cell_angle_gamma 48.93
loop_
_atom_site_label
_atom_site_type_symbol
_atom_site_fract_x
_atom_site_fract_y
_atom_site_fract_z
Tl1 Tl 0.1245 0.1245 0.3784
Tl2 Tl 0.8755 0.8755 0.6216
Ag1 Ag 0.3971 0.3654 0.1424
Ag2 Ag 0.6346 0.6029 0.8576
Se1 Se 0.0022 0.4982 0.2361
Se2 Se 0.2617 0.7383 0.0000
Se3 Se 0.5018 0.9978 0.7639
S1 S 0.7528 0.2472 0.5000
```